The following is a theoretical powder X-ray diffraction pattern of KPuThO6. It was derived from a GGA-PBE-relaxed structure, using λ = 1.5418 Å (Cu Kα).

Atomic structure:
Lattice parameters (Å, degrees): 7.5349 7.5349 7.5349 120.31 115.13 94.05
Fractional coordinates of all 18 atoms:
K1 0.3926 0.1426 0.2500
K2 0.6074 0.8574 0.7500
Pu1 0.0000 0.5000 0.5000
Pu2 0.5000 0.5000 0.0000
Th1 0.0000 0.0000 0.5000
Th2 0.0000 0.5000 0.0000
O1 0.1128 0.8628 0.2500
O2 0.1566 0.4463 0.3447
O3 0.1566 0.8119 0.7104
O4 0.1623 0.4123 0.7500
O5 0.3985 0.1881 0.8447
O6 0.3985 0.5537 0.2104
O7 0.6015 0.4463 0.7896
O8 0.6015 0.8119 0.1553
O9 0.8377 0.5877 0.2500
O10 0.8434 0.1881 0.2896
O11 0.8434 0.5537 0.6553
O12 0.8872 0.1372 0.7500

The 6 most intense peaks (2θ = 10–90°), by angle:
- d = 6.352 Å, 2θ 13.94, I 86
- d = 6.057 Å, 2θ 14.62, I 100
- d = 3.362 Å, 2θ 26.51, I 72
- d = 3.176 Å, 2θ 28.10, I 86
- d = 3.029 Å, 2θ 29.49, I 75
- d = 1.876 Å, 2θ 48.52, I 70